Theoretical X-ray powder pattern
Compound: Ac5Ge2N2
Radiation: Cu Kα (weighted mean of Kα1 and Kα2)
Structure: a GGA-PBE-relaxed structure
Intensities are scaled so that the largest is 100.

Most intense lines, 2θ from 10° to 90°, in order of falling intensity:
- (4 0 2), 30.6°, I = 100
- (4 2 0), 29.4°, I = 78
- (0 2 2), 34.5°, I = 78
- (2 0 2), 26.4°, I = 73
- (5 1 0), 24.9°, I = 67
- (6 1 1), 31.5°, I = 66

Cell and atoms:
Lattice parameters (Å, degrees): 20.3343 7.5599 7.1560 90.00 90.00 90.00
Space group Ima2 (No. 46)
Symmetry-distinct sites (fractional):
1 Ac 0.0139 0.2469 0.0000 (multiplicity 8)
2 Ac 0.1453 0.5605 0.7699 (multiplicity 8)
3 Ac 0.2500 0.1115 0.8350 (multiplicity 4)
4 Ge 0.1062 0.5261 0.2408 (multiplicity 8)
5 N 0.0000 0.0000 0.2514 (multiplicity 4)
6 N 0.2500 0.0859 0.1917 (multiplicity 4)